Structure and calculated X-ray powder pattern of RbAlF4 (a crystal structure in Alexandria, relaxed with GGA-PBE; Cu Kα, 1.54184 Å).

Crystal structure
```
data_RbAlF4
_chemical_formula_sum 'Rb2 Al2 F8'
_symmetry_space_group_name_H-M 'P 4/m b m'
_symmetry_Int_Tables_number 127
_symmetry_space_group_name_Hall '-P 4 2ab'
_cell_length_a 5.211
_cell_length_b 5.211
_cell_length_c 6.406
_cell_angle_alpha 90.00
_cell_angle_beta 90.00
_cell_angle_gamma 90.00
loop_
_atom_site_label
_atom_site_type_symbol
_atom_site_fract_x
_atom_site_fract_y
_atom_site_fract_z
Rb1 Rb 0.000 0.500 0.000
Al1 Al 0.000 0.000 0.500
F1 F 0.000 0.000 0.221
F2 F 0.215 0.285 0.500
```

Largest 10 diffraction maxima, by angle, 2θ from 15° to 90°:
2theta  I (rel.)  index
27.9  100  0 0 2
34.4  27  2 0 0
37.2  64  2 0 1
49.3  24  1 1 3
49.5  22  2 2 0
57.8  32  3 1 1
63.5  10  3 1 2
72.4  16  3 1 3
79.3  9  2 2 4
79.4  7  4 0 2